Entry 1:
Diffraction record for Mn3Cu3Te2O16. The XRD peak list is computed, not measured: it uses DFT lattice parameters and positions (GGA+U) and Cu Kα (weighted mean of Kα1 and Kα2).

Main lines, sorted by position (10 to 90 degrees two-theta):
2θ (°)  I_rel
19.26  53
19.72  66
20.11  100
25.77  24
33.73  21
34.46  22
35.25  46
36.39  48
36.66  29
36.85  20
45.75  18
62.50  30

Atomic structure:
```
Mn3Cu3Te2O16
1.0
5.8488 0.0000 0.0000
-2.9243 5.1826 0.0000
-0.0045 -0.4452 9.2115
Mn Cu Te O
3 3 2 16
direct
0.0000 0.0000 0.0000
0.1686 0.8350 0.4968
0.5021 0.0000 0.0000
0.1669 0.3368 0.5006
0.5049 0.5077 0.9981
0.6717 0.3363 0.5006
0.0040 0.5052 0.2244
0.6654 0.8287 0.7192
0.0103 0.5162 0.5933
0.1650 0.8279 0.1058
0.1671 0.3383 0.1136
0.3097 0.6817 0.3596
0.3293 0.1560 0.9061
0.3317 0.1639 0.4104
0.3751 0.7025 0.8644
0.4983 0.4958 0.6170
0.5007 0.9885 0.6153
0.6736 0.3382 0.1138
0.6770 0.8521 0.0999
0.8155 0.1287 0.8740
0.8295 0.7025 0.8643
0.8613 0.2189 0.3613
0.8735 0.6805 0.3598
0.9895 0.9876 0.6155
```

=====

Entry 2:
Diffraction record for ThMn4Cu3O12. The XRD peak list is computed, not measured: it uses DFT lattice parameters and positions (GGA+U) and Cu Kα (weighted mean of Kα1 and Kα2).

Main lines, sorted by position (10 to 90 degrees two-theta):
2θ (°)  I_rel
16.72  36
23.73  11
29.17  13
33.81  100
37.95  16
41.73  9
45.25  18
48.57  25
60.49  47
63.23  7
71.12  12
81.12  16

Atomic structure:
```
ThMn4Cu3O12
1.0
-3.7492 3.7492 3.7492
3.7492 -3.7492 3.7492
3.7492 3.7492 -3.7492
Th Mn Cu O
1 4 3 12
direct
0.0000 0.0000 0.0000
0.0000 0.0000 0.5000
0.0000 0.5000 0.0000
0.5000 0.0000 0.0000
0.5000 0.5000 0.5000
0.0000 0.5000 0.5000
0.5000 0.0000 0.5000
0.5000 0.5000 0.0000
0.1294 0.3002 0.8292
0.1708 0.4710 0.3002
0.1708 0.8706 0.6998
0.3002 0.1708 0.4710
0.3002 0.8292 0.1294
0.4710 0.3002 0.1708
0.5290 0.6998 0.8292
0.6998 0.1708 0.8706
0.6998 0.8292 0.5290
0.8292 0.1294 0.3002
0.8292 0.5290 0.6998
0.8706 0.6998 0.1708
```